The following is a simulated powder X-ray diffraction pattern of Li2MnVP2O8F2. It was derived from a structure optimized by DFT (GGA+U), using Cu Kα, 1.54184 Å.
Neutral-atom scattering factors, no anomalous dispersion.

Top 6 peaks for 5° ≤ 2θ ≤ 70°, sorted by position:
d_spacing, intensity
4.951, 26.6
4.839, 19.1
4.756, 30.7
3.399, 100.0
3.066, 51.2
2.573, 17.6

Lattice parameters (Å, degrees): 5.1903 7.5394 14.9290 93.56 92.64 108.76
Atoms (fractional coordinates):
Li (0.0655, 0.4852, 0.2946)
Li (0.2695, 0.8496, 0.0390)
Li (0.3969, 0.8142, 0.6276)
Li (0.6031, 0.1858, 0.3724)
Li (0.7305, 0.1504, 0.9610)
Li (0.9345, 0.5148, 0.7054)
Mn (0.0000, 0.0000, 0.5000)
Mn (0.3343, 0.8336, 0.8329)
Mn (0.6657, 0.1664, 0.1671)
V (0.0000, 0.5000, 0.5000)
V (0.3330, 0.3328, 0.8335)
V (0.6670, 0.6672, 0.1665)
P (0.1082, 0.0491, 0.2855)
P (0.2228, 0.2839, 0.0491)
P (0.4369, 0.3786, 0.6189)
P (0.5631, 0.6214, 0.3811)
P (0.7772, 0.7161, 0.9509)
P (0.8918, 0.9509, 0.7145)
O (0.0077, 0.1469, 0.7625)
O (0.0525, 0.8333, 0.9143)
O (0.0959, 0.8351, 0.7233)
O (0.1387, 0.2860, 0.9481)
O (0.1929, 0.0482, 0.3870)
O (0.2334, 0.4932, 0.6117)
O (0.2918, 0.5047, 0.4184)
O (0.3176, 0.1806, 0.5703)
O (0.3408, 0.4804, 0.0964)
O (0.3849, 0.1655, 0.2496)
O (0.4280, 0.1684, 0.0575)
O (0.4746, 0.6274, 0.2807)
O (0.5254, 0.3726, 0.7193)
O (0.5720, 0.8316, 0.9425)
O (0.6151, 0.8345, 0.7504)
O (0.6592, 0.5196, 0.9036)
O (0.6824, 0.8194, 0.4297)
O (0.7082, 0.4953, 0.5816)
O (0.7666, 0.5068, 0.3883)
O (0.8071, 0.9518, 0.6130)
O (0.8613, 0.7140, 0.0519)
O (0.9041, 0.1649, 0.2767)
O (0.9475, 0.1667, 0.0857)
O (0.9923, 0.8531, 0.2375)
F (0.1597, 0.7808, 0.5252)
F (0.1724, 0.5353, 0.8083)
F (0.4950, 0.1313, 0.8589)
F (0.5050, 0.8687, 0.1411)
F (0.8276, 0.4647, 0.1917)
F (0.8403, 0.2192, 0.4748)